No. 1
Na14Cu2Se9: theoretical powder diffractogram (copper Kα), based on the GGA-PBE geometry in Alexandria.

Atomic structure:
a b c (Å): 8.2035 8.2035 11.4578
angles (deg): 90.00 90.00 120.00
Fractional positions:
Na 0.0000 0.0000 0.2479
Na 0.0000 0.0000 0.7521
Na 0.0243 0.6715 0.4090
Na 0.0604 0.3771 0.0949
Na 0.3167 0.9396 0.0949
Na 0.3285 0.3528 0.4090
Na 0.3528 0.0243 0.5910
Na 0.3771 0.3167 0.9051
Na 0.6229 0.6833 0.0949
Na 0.6472 0.9757 0.4090
Na 0.6715 0.6472 0.5910
Na 0.6833 0.0604 0.9051
Na 0.9396 0.6229 0.9051
Na 0.9757 0.3285 0.5910
Cu 0.3333 0.6667 0.7594
Cu 0.6667 0.3333 0.2406
Se 0.0000 0.0000 0.5000
Se 0.0610 0.3638 0.8364
Se 0.3028 0.9390 0.8364
Se 0.3333 0.6667 0.5401
Se 0.3638 0.3028 0.1636
Se 0.6362 0.6972 0.8364
Se 0.6667 0.3333 0.4599
Se 0.6972 0.0610 0.1636
Se 0.9390 0.6362 0.1636

Top 8 peaks for 15° ≤ 2θ ≤ 90°, by angle:
2θ = 23.0°, I = 100; 2θ = 23.3°, I = 39; 2θ = 34.3°, I = 18; 2θ = 38.0°, I = 63; 2θ = 38.3°, I = 67; 2θ = 45.0°, I = 24; 2θ = 46.8°, I = 13; 2θ = 55.1°, I = 16

---

No. 2
SbRu2Se: theoretical powder diffractogram (copper Kα), based on the GGA-PBE geometry in Alexandria.

Atomic structure:
a b c (Å): 4.3660 4.3660 5.4211
angles (deg): 102.36 102.36 41.94
Fractional positions:
Sb 0.0000 0.0000 0.0000
Ru 0.2485 0.2485 0.7314
Ru 0.7515 0.7515 0.2686
Se 0.5000 0.5000 0.5000

Top 8 peaks for 15° ≤ 2θ ≤ 90°, by angle:
2θ = 36.3°, I = 50; 2θ = 36.5°, I = 100; 2θ = 45.2°, I = 54; 2θ = 45.4°, I = 26; 2θ = 45.7°, I = 26; 2θ = 59.1°, I = 35; 2θ = 71.4°, I = 13; 2θ = 72.6°, I = 13